Diffraction record for BaCoNi2. The XRD peak list is computed, not measured: it uses DFT lattice parameters and positions (PBE) and Cu Kα.

```
data_BaCoNi2
_chemical_formula_sum 'Ba4 Co4 Ni8'
_space_group_name_H-M_alt 'F -4 3 m'
_space_group_IT_number 216
_space_group_name_Hall 'F -4 2 3'
_cell_length_a 6.462
_cell_length_b 6.462
_cell_length_c 6.462
_cell_angle_alpha 90.00
_cell_angle_beta 90.00
_cell_angle_gamma 90.00
loop_
_atom_site_label
_atom_site_fract_x
_atom_site_fract_y
_atom_site_fract_z
_atom_site_occupancy
Ba1 0.000 0.000 0.000 1
Co1 0.250 0.250 0.250 1
Ni1 0.000 0.000 0.500 1
Ni2 0.250 0.250 0.750 1
```

Top 8 peaks for 10 to 80 degrees two-theta, sorted by position:
2theta, I/Imax
23.85, 10
27.61, 6
39.44, 100
46.62, 5
57.01, 16
62.67, 2
64.49, 2
71.53, 32